Diffraction record for P. The powder diffraction line list is simulated, not measured: it uses DFT lattice parameters and positions (PBE) and Cu Kα (weighted mean of Kα1 and Kα2).

Largest 12 diffraction maxima, low angle first, 5° ≤ 2θ ≤ 70°:
13.50 deg, I 100, hkl -1 1 1; 14.85 deg, I 55, hkl 0 0 2; 15.53 deg, I 56, hkl 1 -1 1; 20.93 deg, I 9, hkl 1 -1 2; 23.88 deg, I 9, hkl -1 1 3; 25.13 deg, I 17, hkl 2 -2 0; 27.21 deg, I 20, hkl -2 2 2; 29.96 deg, I 11, hkl 0 0 4; 30.64 deg, I 19, hkl -1 1 4; 32.88 deg, I 29, hkl 0 4 -3; 33.10 deg, I 28, hkl 2 2 0; 48.88 deg, I 10, hkl 3 1 2

Cell and atoms:
Lattice parameters (Å, degrees): 7.8575 12.1471 13.0487 102.67 106.72 101.98
Space group P-1 (No. 2)
Unique sites:
P 0.0137 0.4241 0.3289
P 0.0156 0.9552 0.4191
P 0.0168 0.4803 0.7978
P 0.0244 0.1086 0.3498
P 0.0519 0.9804 0.8313
P 0.0858 0.4189 0.0721
P 0.1143 0.8354 0.8969
P 0.1671 0.2782 0.1404
P 0.2232 0.7333 0.7724
P 0.2243 0.8336 0.6510
P 0.2392 0.6517 0.3265
P 0.2640 0.1797 0.6524
P 0.2705 0.3725 0.3239
P 0.2797 0.7718 0.2255
P 0.3062 0.2330 0.8337
P 0.3514 0.0795 0.8925
P 0.3896 0.5060 0.1361
P 0.3928 0.6756 0.1004
P 0.4441 0.5488 0.3206
P 0.4671 0.9813 0.7716
P 0.4765 0.0860 0.6523

Diffraction record for Al6B5O18. The powder diffraction line list is simulated, not measured: it uses DFT lattice parameters and positions (PBE) and Cu Kα (weighted mean of Kα1 and Kα2).

Largest 12 diffraction maxima, low angle first, 5° ≤ 2θ ≤ 70°:
19.18 deg, I 87, hkl 1 1 0; 20.56 deg, I 80, hkl 0 0 2; 21.79 deg, I 40, hkl 1 1 1; 23.39 deg, I 100, hkl 1 0 2; 24.49 deg, I 62, hkl 2 0 1; 31.29 deg, I 22, hkl 2 1 1; 33.55 deg, I 41, hkl 3 0 0; 38.49 deg, I 33, hkl 2 0 3; 40.36 deg, I 38, hkl 2 2 1; 52.32 deg, I 19, hkl 1 4 0; 56.86 deg, I 26, hkl 1 1 5; 67.67 deg, I 24, hkl 2 2 5

Cell and atoms:
Lattice parameters (Å, degrees): 9.2530 9.2530 8.6407 90.00 90.00 120.00
Space group P6_3/m (No. 176)
Unique sites:
Al 0.0164 0.6562 0.0450
B 0.1266 0.2810 0.2500
B 0.3333 0.6667 0.5443
O 0.0191 0.6803 0.2500
O 0.0301 0.8543 0.7500
O 0.1290 0.3296 0.0800
O 0.1576 0.5910 0.5449

Diffraction record for YInPd. The powder diffraction line list is simulated, not measured: it uses DFT lattice parameters and positions (PBE) and Cu Kα (weighted mean of Kα1 and Kα2).

Largest 12 diffraction maxima, low angle first, 5° ≤ 2θ ≤ 70°:
33.00 deg, I 96, hkl 1 1 1; 35.06 deg, I 55, hkl 2 1 0; 35.63 deg, I 100, hkl 2 0 1; 39.94 deg, I 54, hkl 3 0 0; 42.69 deg, I 45, hkl 2 1 1; 48.25 deg, I 25, hkl 0 0 2; 48.47 deg, I 9, hkl 3 1 0; 54.59 deg, I 8, hkl 3 1 1; 61.03 deg, I 21, hkl 2 1 2; 62.89 deg, I 9, hkl 4 1 0; 64.37 deg, I 25, hkl 3 0 2; 64.92 deg, I 41, hkl 3 2 1

Cell and atoms:
Lattice parameters (Å, degrees): 7.8191 7.8191 3.7720 90.00 90.00 120.00
Space group P-62m (No. 189)
Unique sites:
Y 0.0000 0.5910 0.0000
In 0.0000 0.2606 0.5000
Pd 0.0000 0.0000 0.0000
Pd 0.3333 0.6667 0.5000